1.
Theoretical X-ray powder pattern of LaNdTeI2 for copper Kα, from the GGA-PBE geometry in Alexandria.

Peak list (10 most intense, 15° ≤ 2θ ≤ 90°, in order of rising 2θ)
| Position (°2θ) | Rel. int. | (hkl) |
| --- | --- | --- |
| 24.67 | 44 | 2 0 -2 |
| 25.47 | 100 | 1 1 1 |
| 26.32 | 78 | 1 1 -2 |
| 29.69 | 53 | 1 1 2 |
| 30.92 | 87 | 1 1 -3 |
| 31.41 | 51 | 2 0 2 |
| 34.15 | 40 | 2 0 -4 |
| 35.26 | 59 | 1 1 3 |
| 40.07 | 93 | 3 1 -1 |
| 40.73 | 53 | 0 2 0 |

Structure:
Cell lengths 7.8397, 4.4309, 11.8323 Å; angles 90.00, 104.63, 90.00 degrees
Space group P2_1/m (No. 11)
Unique sites:
La 0.1157 0.2500 0.1585 [2 per cell]
Nd 0.2159 0.2500 0.4948 [2 per cell]
Te 0.0139 0.7500 0.3230 [2 per cell]
I 0.2793 0.7500 0.0111 [2 per cell]
I 0.4819 0.7500 0.6585 [2 per cell]

---

2.
Theoretical X-ray powder pattern of La3NiI3 for copper Kα, from the GGA-PBE geometry in Alexandria.

Peak list (10 most intense, 15° ≤ 2θ ≤ 90°, in order of rising 2θ)
| Position (°2θ) | Rel. int. | (hkl) |
| --- | --- | --- |
| 27.27 | 100 | 2 1 0 |
| 29.50 | 47 | 0 0 4 |
| 30.65 | 8 | 1 1 -3 |
| 38.41 | 15 | 4 0 0 |
| 39.48 | 20 | 0 2 0 |
| 39.71 | 24 | 2 1 -4 |
| 41.46 | 24 | 2 1 4 |
| 50.03 | 14 | 0 2 4 |
| 56.26 | 10 | 4 2 0 |
| 64.36 | 10 | 2 3 0 |

Structure:
Cell lengths 9.3900, 4.5647, 12.1400 Å; angles 90.00, 93.40, 90.00 degrees
Space group P2_1/m (No. 11)
Unique sites:
La 0.1031 0.2500 0.4057 [2 per cell]
La 0.1127 0.2500 0.8290 [2 per cell]
La 0.3217 0.7500 0.6193 [2 per cell]
Ni 0.1153 0.2500 0.6226 [2 per cell]
I 0.1314 0.2500 0.1219 [2 per cell]
I 0.3599 0.7500 0.8860 [2 per cell]
I 0.3933 0.7500 0.3569 [2 per cell]

---

3.
Theoretical X-ray powder pattern of La6Ni2OsI3 for copper Kα, from the GGA-PBE geometry in Alexandria.

Peak list (10 most intense, 15° ≤ 2θ ≤ 90°, in order of rising 2θ)
| Position (°2θ) | Rel. int. | (hkl) |
| --- | --- | --- |
| 28.40 | 100 | 1 3 1 |
| 30.43 | 14 | 1 3 -2 |
| 32.50 | 8 | 0 0 3 |
| 35.33 | 11 | 2 0 -3 |
| 38.11 | 27 | 2 0 2 |
| 42.96 | 38 | 0 6 0 |
| 52.30 | 18 | 4 0 0 |
| 54.89 | 11 | 3 3 -4 |
| 69.92 | 15 | 4 6 0 |
| 83.95 | 8 | 3 3 -7 |

Structure:
Cell lengths 7.2914, 12.6353, 8.6148 Å; angles 90.00, 106.40, 90.00 degrees
Space group C2/m (No. 12)
Unique sites:
La 0.2262 0.1643 0.1851 [8 per cell]
La 0.2332 0.5000 0.1852 [4 per cell]
Ni 0.0000 0.3333 0.0000 [4 per cell]
Os 0.0000 0.0000 0.0000 [2 per cell]
I 0.0000 0.1661 0.5000 [4 per cell]
I 0.0000 0.5000 0.5000 [2 per cell]

---

4.
Theoretical X-ray powder pattern of La6NiOs2I3 for copper Kα, from the GGA-PBE geometry in Alexandria.

Peak list (10 most intense, 15° ≤ 2θ ≤ 90°, in order of rising 2θ)
| Position (°2θ) | Rel. int. | (hkl) |
| --- | --- | --- |
| 28.31 | 100 | 1 3 1 |
| 30.34 | 8 | 2 0 1 |
| 35.25 | 13 | 1 3 2 |
| 38.03 | 28 | 1 3 -3 |
| 42.78 | 38 | 0 6 0 |
| 47.35 | 8 | 2 0 3 |
| 52.10 | 18 | 2 6 -2 |
| 58.56 | 8 | 4 0 -4 |
| 69.62 | 15 | 1 9 1 |
| 83.80 | 9 | 3 3 5 |

Structure:
Cell lengths 7.3216, 12.6811, 8.6207 Å; angles 90.00, 106.43, 90.00 degrees
Space group C2/m (No. 12)
Unique sites:
La 0.2212 0.0000 0.1845 [4 per cell]
La 0.2316 0.3300 0.1848 [8 per cell]
Ni 0.0000 0.5000 0.0000 [2 per cell]
Os 0.0000 0.1667 0.0000 [4 per cell]
I 0.0000 0.0000 0.5000 [2 per cell]
I 0.0000 0.3330 0.5000 [4 per cell]

---

5.
Theoretical X-ray powder pattern of La8Ni3PtI4 for copper Kα, from the GGA-PBE geometry in Alexandria.

Peak list (10 most intense, 15° ≤ 2θ ≤ 90°, in order of rising 2θ)
| Position (°2θ) | Rel. int. | (hkl) |
| --- | --- | --- |
| 28.25 | 100 | 2 2 -2 |
| 30.30 | 17 | 2 2 1 |
| 32.67 | 9 | 0 0 3 |
| 35.27 | 10 | 4 0 1 |
| 38.08 | 26 | 4 0 -4 |
| 42.57 | 39 | 0 4 0 |
| 51.87 | 18 | 8 0 -4 |
| 54.67 | 12 | 6 2 1 |
| 69.31 | 10 | 8 4 -4 |
| 84.04 | 8 | 6 2 4 |

Structure:
Cell lengths 14.6979, 8.5050, 9.5747 Å; angles 90.00, 120.80, 90.00 degrees
Space group C2/m (No. 12)
Unique sites:
La 0.0233 0.2454 0.3149 [8 per cell]
La 0.2274 0.0000 0.6824 [4 per cell]
La 0.2314 0.5000 0.6852 [4 per cell]
Ni 0.0000 0.0000 0.5000 [2 per cell]
Ni 0.2500 0.2500 0.5000 [4 per cell]
Pt 0.0000 0.5000 0.5000 [2 per cell]
I 0.0000 0.0000 0.0000 [2 per cell]
I 0.0000 0.5000 0.0000 [2 per cell]
I 0.2500 0.2500 0.0000 [4 per cell]

---

6.
Theoretical X-ray powder pattern of La4IO10 for copper Kα, from the GGA-PBE geometry in Alexandria.

Peak list (10 most intense, 15° ≤ 2θ ≤ 90°, in order of rising 2θ)
| Position (°2θ) | Rel. int. | (hkl) |
| --- | --- | --- |
| 27.54 | 100 | 2 1 1 |
| 31.40 | 10 | 0 0 2 |
| 32.16 | 19 | 1 3 0 |
| 45.56 | 36 | 1 3 2 |
| 46.12 | 18 | 4 2 0 |
| 53.57 | 15 | 2 1 3 |
| 54.56 | 29 | 3 4 1 |
| 56.86 | 9 | 4 2 2 |
| 73.33 | 12 | 5 0 3 |
| 85.05 | 10 | 7 1 2 |

Structure:
Cell lengths 8.8014, 8.8014, 5.6980 Å; angles 90.00, 90.00, 90.00 degrees
Space group I4/m (No. 87)
Unique sites:
La 0.0980 0.3041 0.0000 [8 per cell]
I 0.0000 0.0000 0.5000 [2 per cell]
O 0.0000 0.5000 0.2500 [4 per cell]
O 0.0957 0.8260 0.2828 [16 per cell]

---

7.
Theoretical X-ray powder pattern of LaI2O6 for copper Kα, from the GGA-PBE geometry in Alexandria.

Peak list (10 most intense, 15° ≤ 2θ ≤ 90°, in order of rising 2θ)
| Position (°2θ) | Rel. int. | (hkl) |
| --- | --- | --- |
| 22.17 | 38 | 1 1 -1 |
| 23.80 | 93 | 1 1 1 |
| 25.26 | 94 | 0 4 0 |
| 28.54 | 100 | 3 1 0 |
| 28.93 | 83 | 2 2 -1 |
| 31.48 | 35 | 2 2 1 |
| 33.83 | 29 | 3 3 0 |
| 40.80 | 31 | 0 0 2 |
| 42.68 | 31 | 3 5 0 |
| 48.59 | 31 | 0 4 2 |

Structure:
Cell lengths 9.6729, 14.1043, 4.4459 Å; angles 90.00, 95.77, 90.00 degrees
Space group C2/c (No. 15)
Unique sites:
La 0.0000 0.1319 0.2500 [4 per cell]
I 0.1707 0.3926 0.2029 [8 per cell]
O 0.1264 0.1000 0.7783 [8 per cell]
O 0.1476 0.2631 0.2364 [8 per cell]
O 0.1879 0.4245 0.6178 [8 per cell]

---

8.
Theoretical X-ray powder pattern of LaPb2IO4 for copper Kα, from the GGA-PBE geometry in Alexandria.

Peak list (10 most intense, 15° ≤ 2θ ≤ 90°, in order of rising 2θ)
| Position (°2θ) | Rel. int. | (hkl) |
| --- | --- | --- |
| 28.50 | 100 | 1 0 2 |
| 30.82 | 33 | 1 1 0 |
| 37.09 | 10 | 0 0 4 |
| 44.15 | 19 | 2 0 0 |
| 48.98 | 26 | 1 1 4 |
| 53.40 | 36 | 2 1 2 |
| 59.00 | 11 | 2 0 4 |
| 61.70 | 11 | 1 0 6 |
| 78.96 | 12 | 2 1 6 |
| 84.76 | 11 | 3 1 4 |

Structure:
Cell lengths 4.1023, 4.1023, 9.6944 Å; angles 90.00, 90.00, 90.00 degrees
Space group P4/mmm (No. 123)
Unique sites:
La 0.0000 0.0000 0.0000 [1 per cell]
Pb 0.5000 0.5000 0.2593 [2 per cell]
I 0.0000 0.0000 0.5000 [1 per cell]
O 0.0000 0.5000 0.1500 [4 per cell]